The following is a computed XRD peak list of CaOs2O8. It was derived from a structure optimized by DFT (GGA-PBE), using Cu Kα, 1.54184 Å.
Kinematic intensities with the Lorentz-polarization factor, no thermal factor.

Largest 12 diffraction maxima, in order of falling intensity, 10° ≤ 2θ ≤ 80°:
25.84 deg, intensity 100; 18.20 deg, intensity 85; 45.58 deg, intensity 40; 41.41 deg, intensity 29; 31.79 deg, intensity 24; 72.55 deg, intensity 23; 53.14 deg, intensity 19; 56.64 deg, intensity 18; 60.01 deg, intensity 17; 69.52 deg, intensity 11; 63.26 deg, intensity 10; 36.87 deg, intensity 10

Crystal structure
```
data_CaOs2O8
_space_group_name_H-M_alt 'F m -3 m'
_space_group_IT_number 225
_space_group_name_Hall '-F 4 2 3'
_cell_length_a 9.751
_cell_length_b 9.751
_cell_length_c 9.751
_cell_angle_alpha 90.00
_cell_angle_beta 90.00
_cell_angle_gamma 90.00
loop_
_atom_site_label
_atom_site_fract_x
_atom_site_fract_y
_atom_site_fract_z
Ca1 0.000 0.000 0.000
Os1 0.250 0.250 0.250
O1 0.146 0.146 0.146
```